No. 1
# Na3Tb3SbTe8
Simulated powder XRD pattern, Cu Kα X-rays. Input: DFT lattice parameters and positions (GGA-PBE).
Neutral-atom scattering factors, no anomalous dispersion.

Crystal structure
```
15
Lattice="7.6258 -4.3959 0.0000 7.6258 4.3959 0.0000 -5.0921 0.0000 7.6518" Properties=species:S:1:pos:R:3 pbc="T T T"
Na 0.0000 0.0000 0.0000
Na 3.8129 2.1980 0.0000
Na 3.8129 -2.1980 0.0000
Tb 1.2669 2.1980 3.8259
Tb 1.2669 -2.1980 3.8259
Tb 5.0798 0.0000 3.8259
Sb -2.5460 0.0000 3.8259
Te -0.0375 0.0000 5.5792
Te 3.8248 2.2254 5.5780
Te 6.3348 2.2254 2.0737
Te 2.5387 0.0000 2.0410
Te 7.6209 0.0000 5.6108
Te 3.8248 -2.2254 5.5780
Te 6.3348 -2.2254 2.0737
Te 10.1971 0.0000 2.0726
```

The 8 most intense peaks (15 to 90 degrees two-theta), most intense first:
2theta	I (rel.)
28.11	100
39.31	39
41.03	37
50.48	20
67.00	16
23.67	13
36.14	12
58.12	12



No. 2
# Co2I4N
Simulated powder XRD pattern, Cu Kα X-rays. Input: DFT lattice parameters and positions (GGA-PBE).
Neutral-atom scattering factors, no anomalous dispersion.

Crystal structure
```
7
Lattice="-2.4233 2.4233 10.0344 2.4233 -2.4233 10.0344 2.4233 2.4233 -10.0344" Properties=species:S:1:pos:R:3 pbc="T T T"
Co 0.0000 0.0000 1.1475
Co 0.0000 0.0000 18.9212
I 2.4233 0.0000 0.0000
I 0.0000 0.0000 3.5676
I 0.0000 2.4233 0.0000
I 0.0000 0.0000 16.5011
N 0.0000 0.0000 10.0344
```

The 8 most intense peaks (15 to 90 degrees two-theta), most intense first:
2theta	I (rel.)
44.76	100
18.84	98
37.10	78
27.50	75
22.66	56
31.62	47
26.65	42
72.23	41



No. 3
# ZnAg4I6
Simulated powder XRD pattern, Cu Kα X-rays. Input: DFT lattice parameters and positions (GGA-PBE).
Neutral-atom scattering factors, no anomalous dispersion.

Crystal structure
```
22
Lattice="7.1218 -4.1584 0.0000 7.1218 4.1584 0.0000 -4.5269 0.0000 13.4563" Properties=species:S:1:pos:R:3 pbc="T T T"
Zn 4.8584 2.1883 6.7281
Zn 7.1218 -2.1883 0.0000
Ag -2.2810 0.5362 10.2092
Ag 0.8937 0.8411 7.5676
Ag -0.0175 -0.5362 3.4811
Ag 2.0557 1.8617 12.2632
Ag 3.1571 -0.8411 0.8395
Ag 7.0328 0.8658 10.1955
Ag 4.3191 -1.8617 5.5351
Ag 9.2962 -0.8658 3.4674
I 4.7520 2.0415 4.1376
I 4.9268 2.2527 11.7352
I 3.6822 0.0474 7.6429
I 7.3111 2.1342 7.5803
I 5.9457 -0.0474 0.9148
I 9.5439 2.0274 3.3527
I 2.4885 -2.0415 10.8658
I 7.1902 -2.2527 5.0070
I 10.8134 0.1952 7.5312
I 9.5746 -2.1342 0.8522
I 13.0769 -0.1952 0.8031
I 7.2804 -2.0274 10.0809
```

The 8 most intense peaks (15 to 90 degrees two-theta), most intense first:
2theta	I (rel.)
26.43	100
25.19	62
39.90	44
25.49	37
40.08	33
37.59	27
21.40	26
40.54	25